1.
This entry pairs a crystal structure of Na2NpAs4Pd3 with its theoretical powder diffraction line list. Radiation: λ = 1.5418 Å (Cu Kα). Structure: DFT lattice parameters and positions (GGA-PBE).
Neutral-atom scattering factors, no anomalous dispersion.

Atomic structure:
a = 4.3565 Å, b = 4.3565 Å, c = 11.3138 Å
α = 90.00°, β = 90.00°, γ = 90.00°
Space group P-4m2 (No. 115)
Unique sites:
Na (0.0000, 0.5000, 0.2320) [2 per cell]
Np (0.0000, 0.0000, 0.5000) [1 per cell]
As (0.0000, 0.0000, 0.0000) [1 per cell]
As (0.0000, 0.5000, 0.6571) [2 per cell]
As (0.5000, 0.5000, 0.0000) [1 per cell]
Pd (0.0000, 0.5000, 0.8824) [2 per cell]
Pd (0.5000, 0.5000, 0.5000) [1 per cell]

The 6 most intense peaks (10 to 90 degrees two-theta), in order of rising 2θ:
| 2θ (°) | I/Imax | index |
| --- | --- | --- |
| 15.7 | 74 | 0 0 2 |
| 21.9 | 56 | 1 0 1 |
| 33.1 | 100 | 1 1 2 |
| 41.5 | 66 | 2 0 0 |
| 43.4 | 82 | 1 1 4 |
| 77.0 | 31 | 3 1 4 |

2.
This entry pairs a crystal structure of NaAs2O6 with its theoretical powder diffraction line list. Radiation: λ = 1.5418 Å (Cu Kα). Structure: DFT lattice parameters and positions (GGA-PBE).
Neutral-atom scattering factors, no anomalous dispersion.

Atomic structure:
a = 4.9849 Å, b = 5.1559 Å, c = 10.7310 Å
α = 90.00°, β = 107.02°, γ = 90.00°
Space group P2_1/c (No. 14)
Unique sites:
Na (0.0000, 0.0000, 0.0000) [2 per cell]
As (0.3985, 0.0016, 0.7543) [4 per cell]
O (0.0704, 0.0019, 0.7780) [4 per cell]
O (0.3950, 0.2459, 0.1334) [4 per cell]
O (0.3946, 0.7490, 0.6335) [4 per cell]

The 6 most intense peaks (10 to 90 degrees two-theta), in order of rising 2θ:
| 2θ (°) | I/Imax | index |
| --- | --- | --- |
| 17.3 | 100 | 0 0 2 |
| 18.6 | 44 | 1 0 0 |
| 21.4 | 51 | 1 0 -2 |
| 28.7 | 34 | 1 1 1 |
| 32.4 | 22 | 1 1 -3 |
| 50.2 | 27 | 0 2 4 |

3.
This entry pairs a crystal structure of NaAs2O4 with its theoretical powder diffraction line list. Radiation: λ = 1.5418 Å (Cu Kα). Structure: DFT lattice parameters and positions (GGA-PBE).
Neutral-atom scattering factors, no anomalous dispersion.

Atomic structure:
a = 6.8016 Å, b = 6.8016 Å, c = 5.7960 Å
α = 90.00°, β = 90.00°, γ = 90.00°
Space group I4/m (No. 87)
Unique sites:
Na (0.0000, 0.0000, 0.0000) [2 per cell]
As (0.0000, 0.5000, 0.2500) [4 per cell]
O (0.1037, 0.6671, 0.0000) [8 per cell]

The 6 most intense peaks (10 to 90 degrees two-theta), in order of rising 2θ:
| 2θ (°) | I/Imax | index |
| --- | --- | --- |
| 18.4 | 100 | 1 1 0 |
| 26.2 | 49 | 2 0 0 |
| 36.2 | 33 | 1 1 2 |
| 37.4 | 19 | 2 2 0 |
| 40.9 | 19 | 2 0 2 |
| 53.0 | 40 | 3 1 2 |

4.
This entry pairs a crystal structure of Na5AsO5 with its theoretical powder diffraction line list. Radiation: λ = 1.5418 Å (Cu Kα). Structure: DFT lattice parameters and positions (GGA-PBE).
Neutral-atom scattering factors, no anomalous dispersion.

Atomic structure:
a = 6.0336 Å, b = 16.6111 Å, c = 6.5016 Å
α = 90.00°, β = 90.00°, γ = 90.00°
Space group Pbcm (No. 57)
Unique sites:
Na (0.0604, 0.0894, 0.2500) [4 per cell]
Na (0.0729, 0.7500, 0.0000) [4 per cell]
Na (0.3654, 0.5856, 0.0062) [8 per cell]
Na (0.4150, 0.2304, 0.2500) [4 per cell]
As (0.1947, 0.0957, 0.7500) [4 per cell]
O (0.0721, 0.5583, 0.7500) [4 per cell]
O (0.2418, 0.6763, 0.2500) [4 per cell]
O (0.2464, 0.1548, 0.5352) [8 per cell]
O (0.3903, 0.0197, 0.7500) [4 per cell]

The 6 most intense peaks (10 to 90 degrees two-theta), in order of rising 2θ:
| 2θ (°) | I/Imax | index |
| --- | --- | --- |
| 17.3 | 44 | 0 2 1 |
| 20.8 | 100 | 1 1 1 |
| 25.5 | 42 | 0 4 1 |
| 33.8 | 71 | 2 3 0 |
| 35.3 | 44 | 1 3 2 |
| 38.2 | 45 | 1 4 2 |

5.
This entry pairs a crystal structure of Na2As2O5 with its theoretical powder diffraction line list. Radiation: λ = 1.5418 Å (Cu Kα). Structure: DFT lattice parameters and positions (GGA-PBE).
Neutral-atom scattering factors, no anomalous dispersion.

Atomic structure:
a = 3.5707 Å, b = 5.7846 Å, c = 7.3032 Å
α = 79.69°, β = 76.01°, γ = 89.79°
Space group P-1 (No. 2)
Unique sites:
Na (0.0963, 0.3786, 0.3200) [2 per cell]
As (0.3752, 0.0721, 0.7466) [2 per cell]
O (0.1593, 0.0350, 0.1823) [2 per cell]
O (0.3928, 0.3711, 0.7047) [2 per cell]
O (0.5000, 0.0000, 0.5000) [1 per cell]

The 6 most intense peaks (10 to 90 degrees two-theta), in order of rising 2θ:
| 2θ (°) | I/Imax | index |
| --- | --- | --- |
| 15.6 | 100 | 0 1 0 |
| 25.6 | 86 | 0 0 2 |
| 25.8 | 32 | 1 0 1 |
| 30.8 | 42 | 1 1 0 |
| 30.9 | 41 | 1 -1 1 |
| 33.8 | 37 | -1 1 1 |

6.
This entry pairs a crystal structure of Na2AsO4 with its theoretical powder diffraction line list. Radiation: λ = 1.5418 Å (Cu Kα). Structure: DFT lattice parameters and positions (GGA-PBE).
Neutral-atom scattering factors, no anomalous dispersion.

Atomic structure:
a = 9.5364 Å, b = 11.1192 Å, c = 11.1344 Å
α = 90.00°, β = 90.00°, γ = 90.00°
Space group Fmmm (No. 69)
Unique sites:
Na (0.0000, 0.0000, 0.2110) [8 per cell]
Na (0.0000, 0.2094, 0.0000) [8 per cell]
As (0.2500, 0.2500, 0.2500) [8 per cell]
O (0.1460, 0.1606, 0.1608) [32 per cell]

The 6 most intense peaks (10 to 90 degrees two-theta), in order of rising 2θ:
| 2θ (°) | I/Imax | index |
| --- | --- | --- |
| 14.6 | 14 | 1 1 1 |
| 15.9 | 100 | 0 0 2 |
| 24.6 | 49 | 2 2 0 |
| 29.4 | 61 | 2 2 2 |
| 50.4 | 18 | 4 0 4 |
| 53.2 | 14 | 4 4 2 |

7.
This entry pairs a crystal structure of Na2AsPbO4 with its theoretical powder diffraction line list. Radiation: λ = 1.5418 Å (Cu Kα). Structure: DFT lattice parameters and positions (GGA-PBE).
Neutral-atom scattering factors, no anomalous dispersion.

Atomic structure:
a = 7.7492 Å, b = 6.1425 Å, c = 5.6577 Å
α = 90.00°, β = 90.00°, γ = 90.00°
Space group Pmn2_1 (No. 31)
Unique sites:
Na (0.2491, 0.1566, 0.0000) [4 per cell]
As (0.0000, 0.3390, 0.4963) [2 per cell]
Pb (0.0000, 0.6376, 0.9762) [2 per cell]
O (0.0000, 0.2787, 0.8067) [2 per cell]
O (0.0000, 0.6304, 0.5428) [2 per cell]
O (0.2012, 0.2134, 0.4111) [4 per cell]

The 6 most intense peaks (10 to 90 degrees two-theta), in order of rising 2θ:
| 2θ (°) | I/Imax | index |
| --- | --- | --- |
| 14.4 | 47 | 0 1 0 |
| 21.4 | 60 | 0 1 1 |
| 23.0 | 40 | 2 0 0 |
| 27.2 | 46 | 2 1 0 |
| 31.6 | 100 | 0 0 2 |
| 33.2 | 45 | 0 2 1 |

Number 7 is which compound?
Na2AsPbO4